For Ca6Si6H2O19, a structure optimized by DFT (GGA-PBE) gives the simulated X-ray powder pattern in this record (a wavelength of 1.5418 Å).
Kinematic intensities with the Lorentz-polarization factor, no thermal factor.

Principal peaks in the range 10 to 80 degrees two-theta, low angle first:
2theta	intensity
12.39	35
20.67	37
24.33	30
26.89	49
28.65	100
31.22	60
32.84	42
43.71	37
46.27	44
49.06	29

Atomic structure:
Lattice parameters (Å, degrees): 7.145 7.427 8.791 102.17 90.82 90.04
Space group P-1 (No. 2)
Asymmetric unit:
Ca: 0.000 0.000 0.000 x1
Ca: 0.000 0.500 0.000 x1
Ca: 0.152 0.343 0.358 x2
Ca: 0.156 0.839 0.367 x2
Si: 0.266 0.218 0.713 x2
Si: 0.268 0.637 0.714 x2
Si: 0.447 0.045 0.182 x2
H: 0.358 0.550 0.189 x2
O: 0.115 0.209 0.847 x2
O: 0.115 0.713 0.847 x2
O: 0.166 0.141 0.543 x2
O: 0.169 0.632 0.544 x2
O: 0.223 0.553 0.203 x2
O: 0.224 0.050 0.204 x2
O: 0.343 0.430 0.725 x2
O: 0.467 0.109 0.728 x2
O: 0.469 0.753 0.731 x2
O: 0.500 0.000 0.000 x1